Structure and theoretical PXRD pattern of TmB4 (a PBE-relaxed structure; Cu Ka).
Intensities are scaled so that the largest is 100.

Most intense lines, 2θ = 10–90°, sorted by position:
- 22.31 deg, I 61, (0 0 1)
- 25.25 deg, I 42, (2 0 0)
- 28.29 deg, I 79, (2 1 0)
- 33.95 deg, I 57, (2 0 1)
- 36.33 deg, I 100, (2 1 1)
- 58.74 deg, I 37, (4 1 1)

Cell and atoms:
Unit cell a=7.053 b=7.053 c=3.984 alpha=90.00 beta=90.00 gamma=90.00
Fractional positions:
Tm 0.184 0.316 0.000
Tm 0.316 0.816 0.000
Tm 0.684 0.184 0.000
Tm 0.816 0.684 0.000
B 0.000 0.000 0.203
B 0.000 0.000 0.797
B 0.039 0.823 0.500
B 0.087 0.587 0.500
B 0.177 0.039 0.500
B 0.323 0.539 0.500
B 0.413 0.087 0.500
B 0.461 0.323 0.500
B 0.500 0.500 0.203
B 0.500 0.500 0.797
B 0.539 0.677 0.500
B 0.587 0.913 0.500
B 0.677 0.461 0.500
B 0.823 0.961 0.500
B 0.913 0.413 0.500
B 0.961 0.177 0.500